1.
Diffraction record for Tl2Pd3O8. The powder XRD pattern is calculated, not measured: it uses DFT lattice parameters and positions (PBE) and Cu Kα (λ = 1.5418 Å).

Crystal structure
Unit cell a=6.4408 b=6.4408 c=5.3516 alpha=106.25 beta=106.25 gamma=58.93
Element x y z (fractional)
Tl1 0.2137 0.2137 0.1519
Tl2 0.7863 0.7863 0.8481
Pd1 0.2495 0.7505 0.5000
Pd2 0.5000 0.5000 0.0000
Pd3 0.7505 0.2495 0.5000
O1 0.1013 0.1013 0.4394
O2 0.1714 0.6105 0.1124
O3 0.3895 0.8286 0.8876
O4 0.4021 0.4021 0.5971
O5 0.5979 0.5979 0.4029
O6 0.6105 0.1714 0.1124
O7 0.8286 0.3895 0.8876
O8 0.8987 0.8987 0.5606

Largest 6 diffraction maxima, by intensity, 2θ from 10° to 90°:
d [Å], 2theta, intensity
3.046, 29.33, 100
3.437, 25.92, 82
2.721, 32.92, 62
2.686, 33.35, 58
3.091, 28.89, 53
4.056, 21.91, 50

---

2.
Diffraction record for UTl2PdO6. The powder XRD pattern is calculated, not measured: it uses DFT lattice parameters and positions (PBE) and Cu Kα (λ = 1.5418 Å).

Crystal structure
Unit cell a=6.6092 b=6.6092 c=6.6092 alpha=127.87 beta=127.87 gamma=76.84
Element x y z (fractional)
U1 0.0000 0.0000 0.0000
Tl1 0.2500 0.7500 0.5000
Tl2 0.7500 0.2500 0.5000
Pd1 0.5000 0.5000 0.0000
O1 0.1860 0.1860 0.0000
O2 0.2630 0.2630 0.5260
O3 0.2630 0.7370 0.0000
O4 0.7370 0.2630 0.0000
O5 0.7370 0.7370 0.4740
O6 0.8140 0.8140 0.0000

Largest 6 diffraction maxima, by intensity, 2θ from 10° to 90°:
d [Å], 2theta, intensity
3.218, 27.72, 100
2.904, 30.79, 37
1.731, 52.89, 35
1.933, 47.02, 22
2.054, 44.10, 20
2.589, 34.65, 18

---

3.
Diffraction record for Y2TlPdO5. The powder XRD pattern is calculated, not measured: it uses DFT lattice parameters and positions (PBE) and Cu Kα (λ = 1.5418 Å).

Crystal structure
Unit cell a=6.6410 b=6.6410 c=5.8382 alpha=90.00 beta=90.00 gamma=90.00
Element x y z (fractional)
Y1 0.1728 0.3272 0.0000
Y2 0.3272 0.8272 0.0000
Y3 0.6728 0.1728 0.0000
Y4 0.8272 0.6728 0.0000
Tl1 0.0000 0.0000 0.5000
Tl2 0.5000 0.5000 0.5000
Pd1 0.0000 0.5000 0.5000
Pd2 0.5000 0.0000 0.5000
O1 0.0000 0.0000 0.0000
O2 0.1353 0.6353 0.2332
O3 0.1353 0.6353 0.7668
O4 0.3647 0.1353 0.2332
O5 0.3647 0.1353 0.7668
O6 0.5000 0.5000 0.0000
O7 0.6353 0.8647 0.2332
O8 0.6353 0.8647 0.7668
O9 0.8647 0.3647 0.2332
O10 0.8647 0.3647 0.7668

Largest 6 diffraction maxima, by intensity, 2θ from 10° to 90°:
d [Å], 2theta, intensity
2.886, 30.98, 100
2.919, 30.63, 32
2.348, 38.34, 27
1.830, 49.84, 25
3.321, 26.85, 21
1.679, 54.67, 20

---

4.
Diffraction record for Tm3PdO6. The powder XRD pattern is calculated, not measured: it uses DFT lattice parameters and positions (PBE) and Cu Kα (λ = 1.5418 Å).

Crystal structure
Unit cell a=6.5328 b=6.5328 c=6.5328 alpha=92.32 beta=92.32 gamma=92.32
Element x y z (fractional)
Tm1 0.0623 0.7502 0.5716
Tm2 0.2498 0.4284 0.9377
Tm3 0.4284 0.9377 0.2498
Tm4 0.5716 0.0623 0.7502
Tm5 0.7502 0.5716 0.0623
Tm6 0.9377 0.2498 0.4284
Pd1 0.0000 0.0000 0.0000
Pd2 0.5000 0.5000 0.5000
O1 0.0324 0.6981 0.9092
O2 0.0908 0.9676 0.3019
O3 0.1732 0.4311 0.6067
O4 0.3019 0.0908 0.9676
O5 0.3933 0.8268 0.5689
O6 0.4311 0.6067 0.1732
O7 0.5689 0.3933 0.8268
O8 0.6067 0.1732 0.4311
O9 0.6981 0.9092 0.0324
O10 0.8268 0.5689 0.3933
O11 0.9092 0.0324 0.6981
O12 0.9676 0.3019 0.0908

Largest 6 diffraction maxima, by intensity, 2θ from 10° to 90°:
d [Å], 2theta, intensity
2.967, 30.12, 100
2.681, 33.42, 66
3.616, 24.62, 39
2.869, 31.18, 37
1.781, 51.30, 30
2.037, 44.48, 30